Record 1
For Ti4Ni4Ge7, a DFT-relaxed cell (PBE, the Materials Project) gives the computed PXRD pattern in this record (Cu Ka).
No peak broadening, texture or thermal motion is included.

Structural model:
```
data_Ti4Ni4Ge7
_chemical_formula_sum 'Ti16 Ni16 Ge28'
_cell_length_a 12.974
_cell_length_b 12.974
_cell_length_c 5.123
_cell_angle_alpha 90.00
_cell_angle_beta 90.00
_cell_angle_gamma 90.00
_symmetry_space_group_name_H-M 'I 4/m m m'
_symmetry_Int_Tables_number 139
_symmetry_space_group_name_Hall '-I 4 2'
loop_
_atom_site_label
_atom_site_fract_x
_atom_site_fract_y
_atom_site_fract_z
_atom_site_occupancy
Ti1 0.000 0.189 0.000 1
Ti2 0.135 0.135 0.500 1
Ni1 0.150 0.350 0.250 1
Ge1 0.000 0.000 0.251 1
Ge2 0.000 0.280 0.500 1
Ge3 0.000 0.404 0.000 1
Ge4 0.201 0.201 0.000 1
```

Main lines, most intense first (10 to 90 degrees two-theta):
- 38.91°, I 100, (5 0 1)
- 41.56°, I 60, (3 1 2)
- 41.78°, I 28, (6 0 0)
- 53.81°, I 22, (7 3 0)
- 46.23°, I 21, (3 3 2)
- 65.43°, I 20, (5 0 3)
- 47.34°, I 20, (4 2 2)
- 39.28°, I 18, (4 4 0)


Record 2
For CoNiTe4, a DFT-relaxed cell (PBE, the Materials Project) gives the computed PXRD pattern in this record (Cu Ka).
No peak broadening, texture or thermal motion is included.

Structural model:
```
data_CoNiTe4
_chemical_formula_sum 'Co1 Ni1 Te4'
_cell_length_a 5.449
_cell_length_b 3.839
_cell_length_c 6.663
_cell_angle_alpha 90.00
_cell_angle_beta 90.24
_cell_angle_gamma 90.00
_symmetry_space_group_name_H-M 'P 1 2/m 1'
_symmetry_Int_Tables_number 10
loop_
_symmetry_equiv_pos_as_xyz
'x,y,z'
'-x,-y,-z'
'-x,y,-z'
'x,-y,z'
loop_
_atom_site_label
_atom_site_fract_x
_atom_site_fract_y
_atom_site_fract_z
_atom_site_occupancy
Co1 0.000 0.000 0.000 1
Ni1 0.000 0.500 0.500 1
Te1 0.234 0.000 0.329 1
Te2 0.242 0.500 0.841 1
```

Main lines, most intense first (10 to 90 degrees two-theta):
- 31.47°, I 100, (1 1 -1)
- 31.54°, I 72, (1 0 2)
- 47.31°, I 54, (0 2 0)
- 42.85°, I 30, (2 1 -1)
- 57.87°, I 25, (3 1 1)
- 57.99°, I 24, (1 2 2)
- 42.96°, I 23, (2 0 2)
- 78.00°, I 21, (3 0 4)


Record 3
For NpSi2Au2, a DFT-relaxed cell (PBE, the Materials Project) gives the computed PXRD pattern in this record (Cu Ka).
No peak broadening, texture or thermal motion is included.

Structural model:
```
data_NpSi2Au2
_chemical_formula_sum 'Np2 Si4 Au4'
_cell_length_a 4.202
_cell_length_b 4.202
_cell_length_c 10.467
_cell_angle_alpha 90.00
_cell_angle_beta 90.00
_cell_angle_gamma 90.00
_symmetry_space_group_name_H-M 'I 4/m m m'
_symmetry_Int_Tables_number 139
_symmetry_space_group_name_Hall '-I 4 2'
loop_
_atom_site_label
_atom_site_fract_x
_atom_site_fract_y
_atom_site_fract_z
_atom_site_occupancy
Np1 0.000 0.000 0.000 1
Si1 0.000 0.000 0.391 1
Au1 0.000 0.500 0.250 1
```

Main lines, most intense first (10 to 90 degrees two-theta):
- 34.72°, I 100, (1 1 2)
- 43.05°, I 32, (2 0 0)
- 73.54°, I 24, (3 1 2)
- 22.81°, I 23, (1 0 1)
- 56.14°, I 21, (2 0 4)
- 34.27°, I 21, (0 0 4)
- 33.38°, I 18, (1 0 3)
- 61.65°, I 17, (1 1 6)